Starting from a structure optimized by DFT (PBE), the XRD peak list of Pu2Th4Sb3N2 was calculated for Cu Ka.

Main lines, low angle first (2θ from 10° to 90°):
2θ = 27.14°, intensity 57.6; 2θ = 27.54°, intensity 15.6; 2θ = 29.69°, intensity 27.0; 2θ = 30.48°, intensity 14.6; 2θ = 33.56°, intensity 100.0; 2θ = 34.61°, intensity 15.9; 2θ = 37.44°, intensity 57.6; 2θ = 47.10°, intensity 15.1; 2θ = 50.05°, intensity 14.0; 2θ = 51.90°, intensity 20.5; 2θ = 53.99°, intensity 20.3; 2θ = 65.09°, intensity 30.5

Structural model:
```
Pu2Th4Sb3N2
1.0
-2.4021 2.4021 12.9569
2.4021 -2.4021 12.9569
2.4021 2.4021 -12.9569
Pu Th Sb N
2 4 3 2
direct
0.1970 0.1970 0.0000
0.8030 0.8030 0.0000
0.0851 0.5851 0.5000
0.4149 0.9149 0.5000
0.5851 0.0851 0.5000
0.9149 0.4149 0.5000
0.3226 0.3226 0.0000
0.5000 0.5000 0.0000
0.6774 0.6774 0.0000
0.1052 0.1052 0.0000
0.8948 0.8948 0.0000
```